Starting from a structure optimized by DFT (GGA+U), the powder diffraction line list of LaEu3Ni4O12 was simulated for Cu Kα, 1.54184 Å.

Most intense lines, 10° ≤ 2θ ≤ 90°, sorted by position:
(0 0 2), 2θ = 32.78°, I = 18; (2 0 0), 2θ = 32.99°, I = 100; (2 0 -2), 2θ = 47.04°, I = 10; (2 0 2), 2θ = 47.28°, I = 10; (0 4 0), 2θ = 47.57°, I = 11; (3 2 -1), 2θ = 58.77°, I = 14; (3 2 1), 2θ = 58.96°, I = 16; (2 4 0), 2θ = 59.08°, I = 9

Structural model:
```
data_LaEu3Ni4O12
_cell_length_a 5.438
_cell_length_b 7.646
_cell_length_c 5.464
_cell_angle_alpha 90.00
_cell_angle_beta 90.28
_cell_angle_gamma 90.00
_space_group_name_H-M_alt 'P 1 m 1'
_space_group_IT_number 6
loop_
_space_group_symop_operation_xyz
'x,y,z'
'x,-y,z'
loop_
_atom_site_label
_atom_site_fract_x
_atom_site_fract_y
_atom_site_fract_z
La1 0.000 0.000 0.000
Eu1 0.483 0.000 0.505
Eu2 0.501 0.500 0.415
Eu3 0.983 0.500 0.915
Ni1 0.492 0.252 0.961
Ni2 0.992 0.251 0.460
O1 0.074 0.500 0.477
O2 0.206 0.212 0.746
O3 0.284 0.208 0.254
O4 0.410 0.500 0.977
O5 0.563 0.000 0.943
O6 0.703 0.293 0.670
O7 0.783 0.295 0.170
O8 0.909 0.000 0.452
```


Starting from a structure optimized by DFT (GGA+U), the powder diffraction line list of EuMgMnO3 was simulated for Cu Kα, 1.54184 Å.

Most intense lines, 10° ≤ 2θ ≤ 90°, sorted by position:
(1 0 0), 2θ = 22.55°, I = 27; (0 0 2), 2θ = 25.62°, I = 79; (1 0 1), 2θ = 25.98°, I = 100; (1 1 0), 2θ = 32.10°, I = 51; (1 1 2), 2θ = 41.51°, I = 50; (2 0 0), 2θ = 46.03°, I = 30; (2 0 2), 2θ = 53.42°, I = 38; (2 1 1), 2θ = 53.61°, I = 28

Structural model:
```
data_EuMgMnO3
_cell_length_a 3.943
_cell_length_b 3.943
_cell_length_c 6.954
_cell_angle_alpha 90.00
_cell_angle_beta 90.00
_cell_angle_gamma 90.00
_space_group_name_H-M_alt 'P 4/m m m'
_space_group_IT_number 123
_space_group_name_Hall '-P 4 2'
loop_
_atom_site_label
_atom_site_fract_x
_atom_site_fract_y
_atom_site_fract_z
Eu1 0.000 0.000 0.000
Mg1 0.000 0.000 0.500
Mn1 0.500 0.500 0.500
O1 0.000 0.500 0.500
O2 0.500 0.500 0.000
```


Starting from a structure optimized by DFT (GGA+U), the powder diffraction line list of EuMgSnWO6 was simulated for Cu Kα, 1.54184 Å.

Most intense lines, 10° ≤ 2θ ≤ 90°, sorted by position:
(1 1 1), 2θ = 19.16°, I = 29; (2 2 0), 2θ = 31.54°, I = 100; (3 1 1), 2θ = 37.16°, I = 16; (4 0 0), 2θ = 45.20°, I = 31; (3 3 1), 2θ = 49.52°, I = 7; (4 2 2), 2θ = 56.16°, I = 41; (4 4 0), 2θ = 65.85°, I = 19; (6 2 0), 2θ = 74.84°, I = 18

Structural model:
```
data_EuMgSnWO6
_cell_length_a 8.024
_cell_length_b 8.024
_cell_length_c 8.024
_cell_angle_alpha 90.00
_cell_angle_beta 90.00
_cell_angle_gamma 90.00
_space_group_name_H-M_alt 'F -4 3 m'
_space_group_IT_number 216
_space_group_name_Hall 'F -4 2 3'
loop_
_atom_site_label
_atom_site_fract_x
_atom_site_fract_y
_atom_site_fract_z
Eu1 0.000 0.000 0.000
Mg1 0.250 0.250 0.750
Sn1 0.000 0.000 0.500
W1 0.250 0.250 0.250
O1 0.007 0.250 0.250
```


Starting from a structure optimized by DFT (GGA+U), the powder diffraction line list of EuMgVO3 was simulated for Cu Kα, 1.54184 Å.

Most intense lines, 10° ≤ 2θ ≤ 90°, sorted by position:
(0 0 1), 2θ = 20.24°, I = 22; (1 0 0), 2θ = 20.49°, I = 40; (1 0 1), 2θ = 26.93°, I = 37; (1 1 1), 2θ = 30.65°, I = 24; (1 0 -1), 2θ = 30.88°, I = 100; (1 0 2), 2θ = 43.71°, I = 32; (2 0 1), 2θ = 44.08°, I = 31; (2 1 0), 2θ = 44.39°, I = 31

Structural model:
```
data_EuMgVO3
_cell_length_a 4.417
_cell_length_b 4.419
_cell_length_c 4.478
_cell_angle_alpha 81.33
_cell_angle_beta 81.28
_cell_angle_gamma 81.82
_space_group_name_H-M_alt 'P 1'
_space_group_IT_number 1
loop_
_space_group_symop_operation_xyz
'x,y,z'
loop_
_atom_site_label
_atom_site_fract_x
_atom_site_fract_y
_atom_site_fract_z
Eu1 0.000 0.000 0.000
Mg1 0.359 0.358 0.369
V1 0.655 0.651 0.663
O1 0.147 0.638 0.652
O2 0.642 0.143 0.649
O3 0.644 0.639 0.152
```